# NbSbO4
Calculated X-ray diffraction stick pattern, Cu Kα. Input: DFT lattice parameters and positions (PBE).

Structural model:
Unit cell a=5.6917 b=11.9944 c=5.0785 alpha=90.00 beta=90.00 gamma=90.00
Fractional coordinates of all 24 atoms:
Nb1 0.1349 0.2500 0.2500
Nb2 0.3651 0.7500 0.2500
Nb3 0.6349 0.2500 0.7500
Nb4 0.8651 0.7500 0.7500
Sb1 0.2500 0.0000 0.6896
Sb2 0.2500 0.5000 0.8104
Sb3 0.7500 0.0000 0.3104
Sb4 0.7500 0.5000 0.1896
O1 0.0766 0.0946 0.4159
O2 0.0766 0.4054 0.0841
O3 0.1573 0.6985 0.5081
O4 0.1573 0.8015 0.9919
O5 0.3427 0.1985 0.9919
O6 0.3427 0.3015 0.5081
O7 0.4234 0.5946 0.0841
O8 0.4234 0.9054 0.4159
O9 0.5766 0.0946 0.5841
O10 0.5766 0.4054 0.9159
O11 0.6573 0.6985 0.4919
O12 0.6573 0.8015 0.0081
O13 0.8427 0.1985 0.0081
O14 0.8427 0.3015 0.4919
O15 0.9234 0.5946 0.9159
O16 0.9234 0.9054 0.5841

Principal peaks in the range 5 to 70 degrees two-theta, low angle first:
2θ/deg	intensity
19.0	140
24.6	229
27.9	1000
29.8	262
31.4	90
43.9	98
46.9	125
48.7	84
51.4	90
51.7	197